This entry pairs a crystal structure of MnH4C2O6 with its simulated PXRD pattern. Radiation: Cu Kα (weighted mean of Kα1 and Kα2). Structure: the GGA+U geometry in the Materials Project.
Peak positions follow from Bragg's law for the DFT cell and can differ from measured ones.

Unit cell a=5.756 b=6.877 c=8.255 alpha=82.77 beta=69.62 gamma=65.26
Space group P-1 (No. 2)
One atom of each set of equivalent atoms:
Mn 0.176 0.251 0.250 (multiplicity 2)
H 0.019 0.325 0.852 (multiplicity 2)
H 0.173 0.323 0.647 (multiplicity 2)
H 0.303 0.825 0.352 (multiplicity 2)
H 0.356 0.824 0.147 (multiplicity 2)
C 0.275 0.748 0.851 (multiplicity 2)
C 0.375 0.751 0.649 (multiplicity 2)
O 0.003 0.395 0.742 (multiplicity 2)
O 0.043 0.747 0.926 (multiplicity 2)
O 0.216 0.753 0.574 (multiplicity 2)
O 0.359 0.896 0.242 (multiplicity 2)
O 0.392 0.248 0.425 (multiplicity 2)
O 0.434 0.748 0.926 (multiplicity 2)

The 6 most intense peaks (15 to 90 degrees two-theta), in order of rising 2θ:
two_theta, intensity, h k l
18.04, 100, 0 1 -1
18.47, 89, 0 1 1
24.36, 38, 1 1 2
28.59, 93, 0 2 0
33.21, 30, 2 1 2
33.51, 42, 1 1 -2